The following is a simulated XRD peak list of Ba3LaV3O12. It was derived from a crystal structure in Alexandria, relaxed with PBE+U, using Cu Ka.

Cell and atoms:
a b c (Å): 22.497 5.755 9.637
angles (deg): 90.00 94.68 90.00
Space group Cm (No. 8)
One atom of each set of equivalent atoms:
Ba 0.000 0.000 0.000 x2
Ba 0.017 0.500 0.342 x2
Ba 0.152 0.500 0.697 x2
Ba 0.325 0.000 0.334 x2
Ba 0.355 0.500 0.680 x2
Ba 0.459 0.000 0.691 x2
La 0.145 0.000 0.321 x2
La 0.276 0.500 0.018 x2
V 0.051 0.000 0.659 x2
V 0.102 0.500 0.049 x2
V 0.220 0.500 0.347 x2
V 0.259 0.000 0.698 x2
V 0.383 0.000 0.003 x2
V 0.417 0.500 0.343 x2
O 0.047 0.500 0.913 x2
O 0.060 0.251 0.562 x4
O 0.090 0.258 0.155 x4
O 0.101 0.000 0.802 x2
O 0.151 0.500 0.410 x2
O 0.172 0.500 0.985 x2
O 0.203 0.000 0.557 x2
O 0.224 0.249 0.244 x4
O 0.257 0.256 0.797 x4
O 0.275 0.500 0.478 x2
O 0.310 0.000 0.051 x2
O 0.329 0.000 0.631 x2
O 0.354 0.500 0.218 x2
O 0.398 0.244 0.903 x4
O 0.415 0.259 0.452 x4
O 0.429 0.000 0.155 x2
O 0.480 0.500 0.721 x2
O 0.486 0.500 0.274 x2

Main lines, sorted by position (2θ = 10–90°):
- 18.24 deg, rel. 16
- 27.42 deg, rel. 100
- 27.87 deg, rel. 47
- 30.40 deg, rel. 83
- 31.08 deg, rel. 47
- 40.57 deg, rel. 27
- 42.23 deg, rel. 42
- 47.09 deg, rel. 26
- 53.09 deg, rel. 16
- 54.87 deg, rel. 15